The following is a calculated PXRD pattern of KVO3. It was derived from a structure optimized by DFT (PBE+U), using λ = 1.5418 Å (Cu Kα).
Intensities are scaled so that the largest is 100.

Top 10 peaks for 5 to 70 degrees two-theta, in order of rising 2θ:
hkl 1 0 0, 16.50 deg, I = 15
hkl 0 2 1, 22.40 deg, I = 11
hkl 1 2 0, 23.23 deg, I = 13
hkl 1 2 1, 27.94 deg, I = 100
hkl 0 0 2, 30.91 deg, I = 37
hkl 2 0 0, 33.35 deg, I = 16
hkl 1 3 1, 33.54 deg, I = 12
hkl 0 4 1, 36.41 deg, I = 13
hkl 0 4 2, 45.71 deg, I = 13
hkl 1 2 3, 53.17 deg, I = 19

Crystal structure
```
KVO3
1.0
5.3727 0.0000 0.0000
0.0000 10.9128 0.0000
0.0000 0.0000 5.7866
K V O
4 4 12
Direct
0.0577 0.1052 0.2500
0.0577 0.3948 0.7500
0.9423 0.6052 0.2500
0.9423 0.8948 0.7500
0.4823 0.6612 0.7500
0.4823 0.8388 0.2500
0.5177 0.1612 0.7500
0.5177 0.3388 0.2500
0.1703 0.6473 0.7500
0.1703 0.8527 0.2500
0.3819 0.0237 0.7500
0.3819 0.4763 0.2500
0.4097 0.2500 0.0000
0.4097 0.2500 0.5000
0.5903 0.7500 0.0000
0.5903 0.7500 0.5000
0.6181 0.5237 0.7500
0.6181 0.9763 0.2500
0.8297 0.1473 0.7500
0.8297 0.3527 0.2500
```

The following is a calculated PXRD pattern of MgSc4Fe4O12. It was derived from a structure optimized by DFT (PBE+U), using λ = 1.5418 Å (Cu Kα).
Intensities are scaled so that the largest is 100.

Top 10 peaks for 5 to 70 degrees two-theta, in order of rising 2θ:
hkl 0 1 2, 27.01 deg, I = 18
hkl 1 1 2, 31.03 deg, I = 21
hkl 0 2 0, 31.79 deg, I = 23
hkl 1 1 -2, 32.38 deg, I = 100
hkl -1 1 2, 32.96 deg, I = 15
hkl 2 0 0, 34.09 deg, I = 24
hkl -1 2 1, 38.80 deg, I = 14
hkl -1 1 3, 41.75 deg, I = 14
hkl 0 2 -4, 56.65 deg, I = 24
hkl 3 1 -2, 59.95 deg, I = 25

Crystal structure
```
MgSc4Fe4O12
1.0
5.2722 0.0000 0.0000
0.3170 5.6309 0.0000
0.3292 0.1344 8.0534
Mg Sc Fe O
1 4 4 12
Direct
0.0000 0.0000 0.0000
0.1123 0.2115 0.6101
0.1508 0.3871 0.1881
0.5542 0.7821 0.1121
0.6139 0.7343 0.6386
0.0864 0.8082 0.4014
0.1050 0.6054 0.8025
0.5736 0.2777 0.8971
0.6190 0.2927 0.4009
0.2441 0.8585 0.6473
0.2829 0.1387 0.3716
0.3434 0.5587 0.9933
0.3445 0.0798 0.0438
0.4044 0.6080 0.3268
0.4416 0.3896 0.6572
0.7625 0.8048 0.8640
0.7975 0.0120 0.5107
0.8029 0.2447 0.1842
0.9015 0.5161 0.5034
0.9384 0.7474 0.1885
0.9474 0.2844 0.8393
```

The following is a calculated PXRD pattern of LiNi2O4. It was derived from a structure optimized by DFT (PBE+U), using λ = 1.5418 Å (Cu Kα).
Intensities are scaled so that the largest is 100.

Top 10 peaks for 5 to 70 degrees two-theta, in order of rising 2θ:
hkl 0 0 1, 18.24 deg, I = 100
hkl 2 0 -1, 36.51 deg, I = 13
hkl 1 1 0, 37.18 deg, I = 20
hkl 2 0 -2, 43.99 deg, I = 17
hkl 1 1 1, 44.51 deg, I = 33
hkl 1 1 -2, 48.53 deg, I = 7
hkl 1 1 2, 58.06 deg, I = 10
hkl 1 1 -3, 63.63 deg, I = 9
hkl 3 1 -1, 65.09 deg, I = 9
hkl 3 1 0, 68.22 deg, I = 9

Crystal structure
```
LiNi2O4
1.0
4.9958 0.0000 0.0000
0.0000 2.8135 0.0000
-1.6537 0.0000 4.8626
Li Ni O
1 2 4
Direct
0.0000 0.0000 0.0000
0.0000 0.5000 0.5000
0.5000 0.0000 0.5000
0.2066 0.0000 0.7148
0.2563 0.5000 0.3023
0.7437 0.5000 0.6977
0.7934 0.0000 0.2852
```

The following is a calculated PXRD pattern of VCo2BO5. It was derived from a structure optimized by DFT (PBE+U), using λ = 1.5418 Å (Cu Kα).
Intensities are scaled so that the largest is 100.

Top 10 peaks for 5 to 70 degrees two-theta, in order of rising 2θ:
hkl 1 2 0, 17.12 deg, I = 41
hkl 2 0 0, 18.84 deg, I = 34
hkl 2 4 0, 34.64 deg, I = 100
hkl 2 0 1, 34.83 deg, I = 80
hkl 1 3 1, 37.68 deg, I = 36
hkl 3 1 1, 41.74 deg, I = 25
hkl 3 2 1, 43.70 deg, I = 28
hkl 3 3 1, 46.82 deg, I = 45
hkl 0 0 2, 60.16 deg, I = 25
hkl 1 7 1, 61.17 deg, I = 38

Crystal structure
```
VCo2BO5
1.0
9.4215 0.0000 0.0000
0.0000 12.4000 0.0000
0.0000 0.0000 3.0761
V Co B O
4 8 4 20
Direct
0.2417 0.1136 0.0000
0.2583 0.6136 0.0000
0.7417 0.3864 0.0000
0.7583 0.8864 0.0000
0.0000 0.0000 0.5000
0.0000 0.5000 0.0000
0.0017 0.2805 0.5000
0.4983 0.7805 0.5000
0.5000 0.0000 0.0000
0.5000 0.5000 0.5000
0.5017 0.2195 0.5000
0.9983 0.7195 0.5000
0.2261 0.8607 0.0000
0.2739 0.3607 0.0000
0.7261 0.6393 0.0000
0.7739 0.1393 0.0000
0.1097 0.1423 0.5000
0.1171 0.5783 0.5000
0.1262 0.3601 0.0000
0.1513 0.9573 0.0000
0.1526 0.7638 0.0000
0.3474 0.2638 0.0000
0.3487 0.4573 0.0000
0.3738 0.8601 0.0000
0.3829 0.0783 0.5000
0.3903 0.6423 0.5000
0.6097 0.3577 0.5000
0.6171 0.9217 0.5000
0.6262 0.1399 0.0000
0.6513 0.5427 0.0000
0.6526 0.7362 0.0000
0.8474 0.2362 0.0000
0.8487 0.0427 0.0000
0.8738 0.6399 0.0000
0.8829 0.4217 0.5000
0.8903 0.8577 0.5000
```

The following is a calculated PXRD pattern of Sr8CuW3O18. It was derived from a structure optimized by DFT (PBE+U), using λ = 1.5418 Å (Cu Kα).
Intensities are scaled so that the largest is 100.

Top 10 peaks for 5 to 70 degrees two-theta, in order of rising 2θ:
hkl 0 0 3, 18.19 deg, I = 35
hkl 1 1 1, 20.98 deg, I = 17
hkl 1 -3 1, 29.79 deg, I = 100
hkl 1 -1 4, 29.91 deg, I = 76
hkl 2 0 -1, 29.99 deg, I = 38
hkl 0 4 -6, 42.63 deg, I = 17
hkl 2 2 2, 42.80 deg, I = 35
hkl 2 -4 5, 52.99 deg, I = 14
hkl 0 2 -9, 53.08 deg, I = 38
hkl 3 -1 3, 53.19 deg, I = 20

Crystal structure
```
Sr8CuW3O18
1.0
5.9601 0.0000 0.0000
-0.0029 10.4170 0.0000
-2.9612 -5.1937 14.6408
Sr Cu W O
16 2 6 36
Direct
0.0000 0.0000 0.0000
0.0353 0.3969 0.0884
0.0713 0.7482 0.1671
0.1597 0.5103 0.3467
0.2087 0.9091 0.4277
0.2504 0.3124 0.5205
0.3179 0.9991 0.6672
0.4093 0.7173 0.8269
0.4918 0.5065 0.9932
0.5395 0.9137 0.0923
0.5805 0.3135 0.1931
0.6667 0.0060 0.3395
0.7404 0.7044 0.4924
0.8307 0.5175 0.6728
0.8704 0.9138 0.7608
0.9172 0.3034 0.8342
0.3617 0.3361 0.7423
0.6916 0.3356 0.4148
0.1208 0.1644 0.2648
0.2916 0.6569 0.5933
0.4636 0.1636 0.9251
0.6195 0.6645 0.2596
0.7858 0.1680 0.5951
0.9589 0.6607 0.9256
0.0040 0.2980 0.2064
0.0081 0.5423 0.5446
0.0706 0.3034 0.6545
0.0817 0.5562 0.0047
0.0938 0.5492 0.8270
0.1584 0.7747 0.5221
0.1593 0.0755 0.8876
0.1713 0.7792 0.6973
0.2404 0.7856 0.9683
0.2570 0.0756 0.1620
0.2575 0.0618 0.3393
0.3278 0.5547 0.2168
0.3358 0.2937 0.8491
0.3670 0.2980 0.0314
0.4077 0.2982 0.3230
0.4086 0.5489 0.6680
0.4255 0.5422 0.4935
0.4897 0.7907 0.1963
0.4975 0.0700 0.5523
0.5189 0.7833 0.3694
0.5628 0.0528 0.8175
0.5721 0.7801 0.6339
0.5935 0.0603 0.9987
0.6386 0.3035 0.6937
0.6769 0.5492 0.8780
0.6892 0.3003 0.5282
0.7390 0.2868 0.9585
0.7403 0.5460 0.3274
0.7439 0.5569 0.1540
0.8305 0.7807 0.8570
0.8438 0.0531 0.2192
0.8437 0.7857 0.0315
0.9034 0.7851 0.3031
0.9102 0.0769 0.6776
0.9264 0.0698 0.4980
0.9780 0.2829 0.3715
```

The following is a calculated PXRD pattern of V5O9. It was derived from a structure optimized by DFT (PBE+U), using λ = 1.5418 Å (Cu Kα).
Intensities are scaled so that the largest is 100.

Top 10 peaks for 5 to 70 degrees two-theta, in order of rising 2θ:
hkl 1 0 -1, 21.91 deg, I = 52
hkl 1 2 1, 26.35 deg, I = 87
hkl 1 2 2, 28.87 deg, I = 74
hkl 1 0 -2, 30.56 deg, I = 100
hkl 2 0 1, 34.12 deg, I = 51
hkl 1 0 3, 35.25 deg, I = 53
hkl 1 -2 0, 36.31 deg, I = 38
hkl 1 4 0, 55.12 deg, I = 53
hkl 2 4 3, 55.76 deg, I = 36
hkl 1 2 6, 65.39 deg, I = 36

Crystal structure
```
V5O9
1.0
5.6293 0.0000 0.0000
2.3195 6.7206 0.0000
2.2984 2.3417 7.9292
V O
10 18
Direct
0.0000 0.0000 0.0000
0.0053 0.4918 0.0104
0.2726 0.1773 0.5779
0.2831 0.6712 0.5862
0.5541 0.8552 0.1594
0.5627 0.3509 0.1572
0.6211 0.3467 0.7811
0.6405 0.8274 0.7967
0.9184 0.0160 0.3846
0.9338 0.5262 0.3733
0.0008 0.6825 0.7871
0.0260 0.7141 0.4440
0.1876 0.9805 0.4981
0.2212 0.9678 0.1610
0.2516 0.9847 0.8282
0.2842 0.3740 0.3412
0.3351 0.3791 0.9980
0.3746 0.3578 0.6657
0.5445 0.6342 0.7262
0.5782 0.6590 0.3801
0.6012 0.6418 0.0457
0.6541 0.0253 0.5536
0.6891 0.0285 0.9104
0.7057 0.0374 0.2138
0.8609 0.3080 0.9476
0.8795 0.3234 0.2574
0.8979 0.3350 0.5981
0.9650 0.7103 0.1225
```

The following is a calculated PXRD pattern of Li6Ca3MnC6O18F2. It was derived from a structure optimized by DFT (PBE+U), using λ = 1.5418 Å (Cu Kα).
Intensities are scaled so that the largest is 100.

Top 10 peaks for 5 to 70 degrees two-theta, in order of rising 2θ:
hkl 0 1 1, 13.07 deg, I = 63
hkl 1 1 1, 16.93 deg, I = 55
hkl 1 0 1, 17.65 deg, I = 39
hkl -1 1 1, 20.45 deg, I = 54
hkl 2 1 0, 27.87 deg, I = 47
hkl 2 2 1, 32.19 deg, I = 97
hkl 2 -1 0, 32.36 deg, I = 100
hkl 2 2 0, 34.16 deg, I = 38
hkl 0 0 3, 34.53 deg, I = 50
hkl 4 1 0, 54.99 deg, I = 40

Crystal structure
```
Li6Ca3MnC6O18F2
1.0
6.7185 0.0000 0.0000
1.5924 7.5671 0.0000
0.7998 3.6926 7.7932
Li Ca Mn C O F
6 3 1 6 18 2
Direct
0.0000 0.0000 0.0000
0.0017 0.7720 0.4429
0.3361 0.3889 0.5363
0.4965 0.7910 0.4305
0.5078 0.0005 0.9825
0.8425 0.7211 0.8771
0.1660 0.2606 0.1827
0.6654 0.2276 0.2384
0.8413 0.3337 0.5826
0.3449 0.7067 0.8463
0.1280 0.4069 0.8187
0.1327 0.0095 0.5986
0.3122 0.6376 0.2100
0.6190 0.0020 0.6095
0.6216 0.3919 0.8353
0.8121 0.6365 0.2178
0.0255 0.9816 0.7381
0.0720 0.4750 0.6612
0.1086 0.5256 0.8950
0.1310 0.1864 0.4816
0.2000 0.2243 0.9082
0.2406 0.8617 0.5774
0.2851 0.7885 0.0602
0.2956 0.6588 0.3502
0.3565 0.4624 0.2161
0.5367 0.4897 0.6857
0.5579 0.9175 0.7674
0.5932 0.1939 0.5313
0.6067 0.4732 0.9414
0.7050 0.9042 0.5258
0.7237 0.2157 0.8801
0.7852 0.6548 0.3605
0.8004 0.7867 0.0715
0.8528 0.4588 0.2262
0.4613 0.0489 0.2095
0.9669 0.0439 0.2224
```

The following is a calculated PXRD pattern of Sr6Ca2Co5Cu3O24. It was derived from a structure optimized by DFT (PBE+U), using λ = 1.5418 Å (Cu Kα).
Intensities are scaled so that the largest is 100.

Top 10 peaks for 5 to 70 degrees two-theta, in order of rising 2θ:
hkl 0 2 2, 32.52 deg, I = 100
hkl 2 2 0, 32.82 deg, I = 98
hkl 2 0 2, 32.97 deg, I = 97
hkl 2 2 2, 40.42 deg, I = 25
hkl 0 4 0, 46.44 deg, I = 40
hkl 0 0 4, 46.88 deg, I = 39
hkl 4 0 0, 47.76 deg, I = 37
hkl 2 4 2, 58.12 deg, I = 37
hkl 2 2 -4, 58.40 deg, I = 36
hkl 4 2 2, 58.97 deg, I = 35

Crystal structure
```
Sr6Ca2Co5Cu3O24
1.0
7.6179 0.0000 0.0000
0.0000 7.8222 0.0000
-0.0062 0.0000 7.7528
Sr Ca Co Cu O
6 2 5 3 24
Direct
0.2492 0.0000 0.2493
0.2493 0.9999 0.7506
0.2490 0.5064 0.2494
0.7507 0.9999 0.2494
0.7508 0.0000 0.7507
0.7510 0.5064 0.7506
0.2490 0.5089 0.7513
0.7510 0.5089 0.2487
0.0000 0.2562 0.5000
0.5000 0.2548 0.0000
0.5000 0.2549 0.5000
0.5000 0.7517 0.0000
0.5000 0.7520 0.5000
0.0000 0.2543 0.0000
0.0000 0.7527 0.0000
0.0000 0.7534 0.5000
0.0000 0.0027 0.5000
0.0000 0.0039 0.0000
0.0000 0.5029 0.0000
0.0000 0.5048 0.5000
0.0032 0.2579 0.7495
0.0048 0.7465 0.7498
0.2406 0.2567 0.5011
0.2574 0.7494 0.5025
0.2581 0.7492 0.9974
0.2608 0.2573 0.9974
0.4979 0.2571 0.7344
0.4978 0.7481 0.7504
0.5000 0.0031 0.0000
0.5000 0.0041 0.5000
0.5000 0.5032 0.0000
0.5000 0.5028 0.5000
0.5021 0.2571 0.2656
0.5022 0.7481 0.2496
0.7392 0.2573 0.0026
0.7419 0.7492 0.0026
0.7426 0.7494 0.4975
0.7594 0.2567 0.4989
0.9952 0.7465 0.2502
0.9968 0.2579 0.2505
```